[1]
Structure and simulated powder XRD pattern of NaNdTiNbO6F (DFT lattice parameters and positions (PBE); Cu Kα X-rays).
Lines closer than 0.1° are merged.

Top 12 peaks for 10 to 90 degrees two-theta, in order of falling intensity:
2theta, intensity
29.6, 100.0
19.0, 43.6
49.3, 32.9
58.7, 24.7
34.4, 15.6
49.4, 15.4
58.5, 13.9
39.6, 12.3
30.8, 12.0
80.0, 9.6
46.8, 8.5
61.5, 8.5

Structural model:
```
data_NaNdTiNbO6F
_space_group_name_H-M_alt 'P 41 2 2'
_space_group_IT_number 91
_cell_length_a 7.378
_cell_length_b 7.378
_cell_length_c 10.475
_cell_angle_alpha 90.00
_cell_angle_beta 90.00
_cell_angle_gamma 90.00
loop_
_space_group_symop_operation_xyz
'x,y,z'
'-y,x,z+1/4'
'-x,-y,z+1/2'
'y,-x,z+3/4'
'x,-y,-z+1/2'
'-y,-x,-z+1/4'
'-x,y,-z'
'y,x,-z+3/4'
loop_
_atom_site_label
_atom_site_fract_x
_atom_site_fract_y
_atom_site_fract_z
Na1 0.000 0.230 0.000
Nd1 0.226 0.500 0.750
Ti1 0.265 0.500 0.250
Nb1 0.000 0.257 0.500
O1 0.057 0.448 0.368
O2 0.062 0.062 0.375
O3 0.251 0.273 0.572
O4 0.458 0.458 0.375
F1 0.241 0.241 0.875
```

[2]
Structure and simulated powder XRD pattern of NaNbO2F (DFT lattice parameters and positions (PBE); Cu Kα X-rays).
Lines closer than 0.1° are merged.

Top 12 peaks for 10 to 90 degrees two-theta, in order of falling intensity:
2theta, intensity
31.2, 100.0
22.5, 82.8
21.4, 41.2
45.8, 34.6
51.1, 29.1
56.9, 25.2
31.6, 25.1
43.6, 21.9
56.1, 19.0
65.1, 18.3
49.5, 18.3
32.3, 17.2

Structural model:
```
data_NaNbO2F
_space_group_name_H-M_alt 'P n m a'
_space_group_IT_number 62
_cell_length_a 5.654
_cell_length_b 8.310
_cell_length_c 5.548
_cell_angle_alpha 90.00
_cell_angle_beta 90.00
_cell_angle_gamma 90.00
loop_
_space_group_symop_operation_xyz
'x,y,z'
'-x,-y,-z'
'-x+1/2,-y,z+1/2'
'x+1/2,y,-z+1/2'
'x+1/2,-y+1/2,-z+1/2'
'-x+1/2,y+1/2,z+1/2'
'-x,y+1/2,-z'
'x,-y+1/2,z'
loop_
_atom_site_label
_atom_site_fract_x
_atom_site_fract_y
_atom_site_fract_z
Na1 0.025 0.250 0.032
Nb1 0.000 0.000 0.500
O1 0.227 0.541 0.775
F1 0.023 0.750 0.390
```

[3]
Structure and simulated powder XRD pattern of Na3NbOF6 (DFT lattice parameters and positions (PBE); Cu Kα X-rays).
Lines closer than 0.1° are merged.

Top 12 peaks for 10 to 90 degrees two-theta, in order of falling intensity:
2theta, intensity
30.1, 100.0
18.3, 95.5
18.6, 80.8
21.7, 63.4
44.2, 46.1
54.0, 42.4
54.8, 31.5
31.1, 28.6
42.0, 28.2
20.7, 28.2
52.8, 22.0
53.2, 21.0

Structural model:
```
data_Na3NbOF6
_space_group_name_H-M_alt 'P 21 21 21'
_space_group_IT_number 19
_cell_length_a 5.745
_cell_length_b 5.855
_cell_length_c 17.196
_cell_angle_alpha 90.00
_cell_angle_beta 90.00
_cell_angle_gamma 90.00
loop_
_space_group_symop_operation_xyz
'x,y,z'
'-x+1/2,-y,z+1/2'
'x+1/2,-y+1/2,-z'
'-x,y+1/2,-z+1/2'
loop_
_atom_site_label
_atom_site_fract_x
_atom_site_fract_y
_atom_site_fract_z
Na1 0.218 0.008 0.004
Na2 0.236 0.032 0.743
Na3 0.237 0.515 0.125
Nb1 0.247 0.490 0.375
O1 0.014 0.161 0.612
F1 0.054 0.255 0.440
F2 0.081 0.161 0.134
F3 0.081 0.271 0.300
F4 0.126 0.180 0.877
F5 0.156 0.423 0.762
F6 0.229 0.604 0.489
```

[4]
Structure and simulated powder XRD pattern of Na2NbO3F5 (DFT lattice parameters and positions (PBE); Cu Kα X-rays).
Lines closer than 0.1° are merged.

Top 12 peaks for 10 to 90 degrees two-theta, in order of falling intensity:
2theta, intensity
17.8, 100.0
28.2, 33.2
17.0, 31.1
21.4, 30.8
27.5, 27.6
14.2, 26.8
43.6, 23.5
11.4, 18.8
20.1, 18.4
25.8, 16.0
23.0, 14.8
52.7, 13.5

Structural model:
```
data_Na2NbO3F5
_space_group_name_H-M_alt 'P c a 21'
_space_group_IT_number 29
_cell_length_a 10.417
_cell_length_b 7.745
_cell_length_c 8.299
_cell_angle_alpha 90.00
_cell_angle_beta 90.00
_cell_angle_gamma 90.00
loop_
_space_group_symop_operation_xyz
'x,y,z'
'-x,-y,z+1/2'
'-x+1/2,y,z+1/2'
'x+1/2,-y,z'
loop_
_atom_site_label
_atom_site_fract_x
_atom_site_fract_y
_atom_site_fract_z
Na1 0.034 0.241 0.000
Na2 0.250 0.959 0.250
Nb1 0.062 0.227 0.499
O1 0.014 0.556 0.085
O2 0.014 0.556 0.910
O3 0.222 0.650 0.717
F1 0.080 0.176 0.737
F2 0.081 0.176 0.262
F3 0.101 0.903 0.000
F4 0.135 0.975 0.499
F5 0.242 0.293 0.498
```

[5]
Structure and simulated powder XRD pattern of NaPrTiNbO6F (DFT lattice parameters and positions (PBE); Cu Kα X-rays).
Lines closer than 0.1° are merged.

Top 12 peaks for 10 to 90 degrees two-theta, in order of falling intensity:
2theta, intensity
29.6, 100.0
19.0, 42.7
49.2, 32.8
58.5, 24.6
34.3, 15.6
49.3, 15.4
58.3, 13.9
39.5, 12.3
30.7, 11.9
79.8, 9.6
61.3, 8.6
34.2, 8.5

Structural model:
```
data_NaPrTiNbO6F
_space_group_name_H-M_alt 'P 41 2 2'
_space_group_IT_number 91
_cell_length_a 7.393
_cell_length_b 7.393
_cell_length_c 10.502
_cell_angle_alpha 90.00
_cell_angle_beta 90.00
_cell_angle_gamma 90.00
loop_
_space_group_symop_operation_xyz
'x,y,z'
'-y,x,z+1/4'
'-x,-y,z+1/2'
'y,-x,z+3/4'
'x,-y,-z+1/2'
'-y,-x,-z+1/4'
'-x,y,-z'
'y,x,-z+3/4'
loop_
_atom_site_label
_atom_site_fract_x
_atom_site_fract_y
_atom_site_fract_z
Na1 0.000 0.226 0.000
Pr1 0.226 0.500 0.750
Ti1 0.265 0.500 0.250
Nb1 0.000 0.257 0.500
O1 0.058 0.447 0.368
O2 0.062 0.062 0.375
O3 0.251 0.272 0.571
O4 0.458 0.458 0.375
F1 0.239 0.239 0.875
```

[6]
Structure and simulated powder XRD pattern of NaPrTiNbO6F (DFT lattice parameters and positions (PBE); Cu Kα X-rays).
Lines closer than 0.1° are merged.

Top 12 peaks for 10 to 90 degrees two-theta, in order of falling intensity:
2theta, intensity
29.1, 100.0
30.1, 91.0
49.4, 63.4
17.1, 51.9
59.2, 38.7
34.1, 31.3
57.5, 28.1
38.4, 26.3
23.4, 22.9
24.5, 20.6
50.3, 17.2
47.8, 16.7

Structural model:
```
data_NaPrTiNbO6F
_space_group_name_H-M_alt 'I m m a'
_space_group_IT_number 74
_space_group_name_Hall '-I 2b 2'
_cell_length_a 7.254
_cell_length_b 7.612
_cell_length_c 10.358
_cell_angle_alpha 90.00
_cell_angle_beta 90.00
_cell_angle_gamma 90.00
loop_
_atom_site_label
_atom_site_fract_x
_atom_site_fract_y
_atom_site_fract_z
Na1 0.250 0.250 0.250
Pr1 0.000 0.000 0.000
Ti1 0.250 0.250 0.750
Nb1 0.000 0.000 0.500
O1 0.000 0.250 0.434
O2 0.000 0.250 0.828
O3 0.204 0.061 0.623
F1 0.000 0.250 0.130
```

[7]
Structure and simulated powder XRD pattern of Rb3NaNb2O3F10 (DFT lattice parameters and positions (PBE); Cu Kα X-rays).
Lines closer than 0.1° are merged.

Top 12 peaks for 10 to 90 degrees two-theta, in order of falling intensity:
2theta, intensity
25.7, 100.0
39.1, 94.8
27.6, 89.0
25.4, 79.6
29.2, 56.7
16.2, 49.9
40.2, 43.1
21.2, 38.7
17.1, 35.0
26.1, 33.8
25.9, 29.9
60.2, 25.8

Structural model:
```
data_Rb3NaNb2O3F10
_space_group_name_H-M_alt 'C 1 2 1'
_space_group_IT_number 5
_cell_length_a 21.382
_cell_length_b 6.113
_cell_length_c 12.340
_cell_angle_alpha 90.00
_cell_angle_beta 122.60
_cell_angle_gamma 90.00
loop_
_space_group_symop_operation_xyz
'x,y,z'
'-x,y,-z'
'x+1/2,y+1/2,z'
'-x+1/2,y+1/2,-z'
loop_
_atom_site_label
_atom_site_fract_x
_atom_site_fract_y
_atom_site_fract_z
Rb1 0.043 0.000 0.376
Rb2 0.133 0.512 0.907
Rb3 0.224 0.510 0.618
Na1 0.000 0.004 0.000
Na2 0.000 0.517 0.500
Nb1 0.089 0.504 0.237
Nb2 0.170 0.025 0.751
O1 0.121 0.502 0.131
O2 0.138 0.002 0.118
O3 0.232 0.236 0.846
F1 0.012 0.271 0.146
F2 0.012 0.738 0.146
F3 0.044 0.503 0.359
F4 0.087 0.230 0.627
F5 0.088 0.778 0.628
F6 0.117 0.006 0.842
F7 0.156 0.278 0.361
F8 0.156 0.732 0.360
F9 0.195 0.005 0.619
F10 0.232 0.772 0.847
```

[8]
Structure and simulated powder XRD pattern of Na5Nd4Si4O16F (DFT lattice parameters and positions (PBE); Cu Kα X-rays).
Lines closer than 0.1° are merged.

Top 12 peaks for 10 to 90 degrees two-theta, in order of falling intensity:
2theta, intensity
17.7, 100.0
31.3, 89.6
27.5, 74.6
34.8, 66.0
10.4, 59.7
32.5, 56.5
23.1, 55.7
23.4, 53.6
47.2, 52.6
48.9, 47.0
40.9, 43.4
33.3, 40.7

Structural model:
```
data_Na5Nd4Si4O16F
_space_group_name_H-M_alt 'I -4'
_space_group_IT_number 82
_cell_length_a 12.041
_cell_length_b 12.041
_cell_length_c 5.513
_cell_angle_alpha 90.00
_cell_angle_beta 90.00
_cell_angle_gamma 90.00
loop_
_space_group_symop_operation_xyz
'x,y,z'
'y,-x,-z'
'-x,-y,z'
'-y,x,-z'
'x+1/2,y+1/2,z+1/2'
'y+1/2,-x+1/2,-z+1/2'
'-x+1/2,-y+1/2,z+1/2'
'-y+1/2,x+1/2,-z+1/2'
loop_
_atom_site_label
_atom_site_fract_x
_atom_site_fract_y
_atom_site_fract_z
Na1 0.000 0.000 0.000
Na2 0.089 0.395 0.508
Nd1 0.117 0.815 0.518
Si1 0.102 0.247 0.008
O1 0.036 0.209 0.255
O2 0.046 0.190 0.767
O3 0.106 0.384 0.984
O4 0.201 0.769 0.954
F1 0.000 0.000 0.500
```

Q: Number 3 is which compound?
A: Na3NbOF6